Structure and simulated powder diffraction line list of Ta4AlC3 (a cell relaxed with PBE; a wavelength of 1.5418 Å).
Peak positions follow from Bragg's law for the DFT cell and can differ from measured ones.

Peak list (10 most intense, 2θ = 10–80°, sorted by position)
2θ 14.61, I = 25
2θ 33.76, I = 51
2θ 34.79, I = 37
2θ 36.18, I = 47
2θ 37.06, I = 43
2θ 37.91, I = 63
2θ 39.94, I = 100
2θ 56.73, I = 23
2θ 58.78, I = 47
2θ 71.56, I = 39

Structural model:
```
Ta4AlC3
1.0
3.142 0.000 0.000
-1.571 2.721 0.000
0.000 0.000 24.256
Ta Al C
8 2 6
direct
0.000 0.000 0.157
0.000 0.000 0.343
0.000 0.000 0.657
0.000 0.000 0.843
0.333 0.667 0.055
0.333 0.667 0.445
0.667 0.333 0.555
0.667 0.333 0.945
0.333 0.667 0.250
0.667 0.333 0.750
0.000 0.000 0.000
0.000 0.000 0.500
0.333 0.667 0.608
0.333 0.667 0.892
0.667 0.333 0.108
0.667 0.333 0.392
```

Structure and simulated powder diffraction line list of Y4Co16B3C (a cell relaxed with PBE; a wavelength of 1.5418 Å).
Peak positions follow from Bragg's law for the DFT cell and can differ from measured ones.

Peak list (10 most intense, 2θ = 10–80°, sorted by position)
2θ 33.62, I = 60
2θ 35.77, I = 21
2θ 38.25, I = 18
2θ 40.07, I = 18
2θ 41.54, I = 82
2θ 45.01, I = 100
2θ 49.90, I = 17
2θ 62.90, I = 19
2θ 70.72, I = 35
2θ 75.79, I = 25

Structural model:
```
Y4Co16B3C
1.0
5.021 0.000 0.000
-2.510 4.348 0.000
0.000 0.000 13.500
Y Co B C
4 16 3 1
direct
0.000 0.000 0.000
0.000 0.000 0.249
0.000 0.000 0.500
0.000 0.000 0.751
0.004 0.502 0.101
0.004 0.502 0.899
0.333 0.667 0.250
0.333 0.667 0.750
0.498 0.502 0.101
0.498 0.502 0.899
0.498 0.996 0.101
0.498 0.996 0.899
0.500 0.001 0.394
0.500 0.001 0.606
0.500 0.500 0.394
0.500 0.500 0.606
0.667 0.333 0.247
0.667 0.333 0.753
0.999 0.500 0.394
0.999 0.500 0.606
0.333 0.667 0.500
0.667 0.333 0.000
0.667 0.333 0.500
0.333 0.667 0.000
```

Structure and simulated powder diffraction line list of BaSrBiSbO6 (a cell relaxed with PBE; a wavelength of 1.5418 Å).
Peak positions follow from Bragg's law for the DFT cell and can differ from measured ones.

Peak list (10 most intense, 2θ = 10–80°, sorted by position)
2θ 20.70, I = 17
2θ 29.21, I = 100
2θ 29.67, I = 100
2θ 42.12, I = 54
2θ 51.79, I = 25
2θ 52.08, I = 44
2θ 52.93, I = 20
2θ 61.60, I = 16
2θ 68.88, I = 18
2θ 69.60, I = 18

Structural model:
```
BaSrBiSbO6
1.0
3.057 1.765 4.881
-3.057 1.765 4.881
0.000 -3.530 4.881
Ba Sr Bi Sb O
1 1 1 1 6
direct
0.000 0.000 0.000
0.510 0.510 0.510
0.251 0.251 0.251
0.751 0.751 0.751
0.062 0.527 0.897
0.457 0.969 0.577
0.527 0.897 0.062
0.577 0.457 0.969
0.897 0.062 0.527
0.969 0.577 0.457
```